[1]
Structure and calculated PXRD pattern of Dy3ScBi4 (the PBE geometry in Alexandria; Cu Ka).
No peak broadening, texture or thermal motion is included.

Main lines, sorted by position (2θ from 10° to 90°):
2θ (°), I (rel.)
14.1, 4
20.0, 3
24.6, 9
28.5, 100
40.7, 78
48.2, 5
50.5, 28
59.0, 13
64.9, 2
66.8, 37
74.1, 28
88.2, 9

Crystal structure
```
8
Lattice="6.2648 0.0000 0.0000 0.0000 6.2648 0.0000 0.0000 0.0000 6.2648" Properties=species:S:1:pos:R:3 pbc="T T T"
Dy 0.0000 0.0000 3.1324
Dy 0.0000 3.1324 0.0000
Dy 3.1324 0.0000 0.0000
Sc 3.1324 3.1324 3.1324
Bi 0.0000 0.0000 0.0000
Bi 0.0000 3.1324 3.1324
Bi 3.1324 0.0000 3.1324
Bi 3.1324 3.1324 0.0000
```

[2]
Structure and calculated PXRD pattern of Tb2Dy3ScBi6 (the PBE geometry in Alexandria; Cu Ka).
No peak broadening, texture or thermal motion is included.

Main lines, sorted by position (2θ from 10° to 90°):
2θ (°), I (rel.)
24.5, 7
28.4, 100
31.0, 1
40.5, 78
47.9, 4
50.2, 28
58.7, 13
64.6, 2
66.4, 36
73.8, 27
79.1, 1
87.7, 9

Crystal structure
```
12
Lattice="9.6932 -2.2251 0.0000 9.6932 2.2251 0.0000 -2.0377 0.0000 8.6650" Properties=species:S:1:pos:R:3 pbc="T T T"
Tb 2.5335 0.0000 2.8792
Tb 14.8152 0.0000 5.7858
Dy 1.5712 0.0000 7.2292
Dy 8.6744 0.0000 4.3325
Dy 15.7776 0.0000 1.4358
Sc 9.6932 0.0000 0.0000
Bi -1.5206 0.0000 6.5892
Bi 5.6170 0.0000 3.6050
Bi 4.6705 0.0000 7.9720
Bi 12.6783 0.0000 0.6929
Bi 11.7318 0.0000 5.0600
Bi 18.8694 0.0000 2.0758
```

[3]
Structure and calculated PXRD pattern of Dy4BiSe3 (the PBE geometry in Alexandria; Cu Ka).
No peak broadening, texture or thermal motion is included.

Main lines, sorted by position (2θ from 10° to 90°):
2θ (°), I (rel.)
15.0, 2
21.2, 2
23.8, 3
26.1, 6
28.2, 4
30.2, 100
43.2, 74
51.2, 3
53.6, 26
62.8, 12
71.2, 33
79.3, 24

Crystal structure
```
8
Lattice="4.1886 0.0000 0.0000 0.0000 5.9201 0.0000 0.0000 0.0000 8.3646" Properties=species:S:1:pos:R:3 pbc="T T T"
Dy 0.0000 0.0000 0.0000
Dy 0.0000 0.0000 4.1823
Dy 2.0943 2.9601 1.9210
Dy 2.0943 2.9601 6.4436
Bi 0.0000 2.9601 4.1823
Se 0.0000 2.9601 0.0000
Se 2.0943 0.0000 2.0706
Se 2.0943 0.0000 6.2940
```

[4]
Structure and calculated PXRD pattern of DyBiSe3 (the PBE geometry in Alexandria; Cu Ka).
No peak broadening, texture or thermal motion is included.

Main lines, sorted by position (2θ from 10° to 90°):
2θ (°), I (rel.)
16.6, 54
24.6, 20
25.1, 62
26.0, 19
27.8, 40
29.8, 31
32.5, 100
35.3, 51
38.7, 37
43.6, 85
45.8, 17
57.4, 25

Crystal structure
```
10
Lattice="2.0738 -10.6841 0.0000 2.0738 10.6841 0.0000 0.0000 0.0000 7.2458" Properties=species:S:1:pos:R:3 pbc="T T T"
Dy 2.0738 7.1104 3.6229
Dy 2.0738 -7.1104 0.0000
Bi 2.0738 3.2275 3.6292
Bi 2.0738 -3.2275 0.0063
Se 2.0738 8.8420 5.9384
Se 2.0738 5.3126 1.2470
Se 2.0738 2.0155 6.1464
Se 2.0738 -2.0155 2.5235
Se 2.0738 -5.3126 4.8698
Se 2.0738 -8.8420 2.3155
```

[5]
Structure and calculated PXRD pattern of Dy5Si2Bi2 (the PBE geometry in Alexandria; Cu Ka).
No peak broadening, texture or thermal motion is included.

Main lines, sorted by position (2θ from 10° to 90°):
2θ (°), I (rel.)
25.1, 43
25.8, 38
30.6, 36
31.9, 63
32.4, 100
33.2, 96
34.4, 54
36.3, 98
40.0, 28
51.5, 36
51.9, 26
57.7, 47

Crystal structure
```
18
Lattice="7.6902 -3.9612 0.0000 7.6902 3.9612 0.0000 0.0000 0.0000 7.9387" Properties=species:S:1:pos:R:3 pbc="T T T"
Dy 0.0000 0.0000 0.0000
Dy 5.8128 2.6553 5.2790
Dy 5.8128 1.3059 1.3096
Dy 9.5677 2.6553 5.2790
Dy 9.5677 1.3059 1.3096
Dy 7.6902 0.0000 3.9694
Dy 5.8128 -1.3059 6.6291
Dy 5.8128 -2.6553 2.6598
Dy 9.5677 -1.3059 6.6291
Dy 9.5677 -2.6553 2.6598
Si 7.6902 2.8936 2.9091
Si 7.6902 1.0676 6.8785
Si 7.6902 -1.0676 1.0603
Si 7.6902 -2.8936 5.0296
Bi 3.1896 0.0000 0.0000
Bi 4.5006 0.0000 3.9694
Bi 10.8798 0.0000 3.9694
Bi 12.1908 0.0000 0.0000
```

[6]
Structure and calculated PXRD pattern of Dy6Si2Bi (the PBE geometry in Alexandria; Cu Ka).
No peak broadening, texture or thermal motion is included.

Main lines, sorted by position (2θ from 10° to 90°):
2θ (°), I (rel.)
27.2, 16
29.1, 13
29.7, 24
31.5, 100
33.2, 20
34.1, 33
34.3, 16
34.8, 18
37.4, 11
37.9, 17
56.0, 16
59.3, 17

Crystal structure
```
18
Lattice="-4.7459 4.8093 5.2228 4.7459 -4.8093 5.2228 4.7459 4.8093 -5.2228" Properties=species:S:1:pos:R:3 pbc="T T T"
Dy 4.7459 2.7773 -2.6876
Dy 2.6526 1.8055 0.0000
Dy 6.8391 1.8055 0.0000
Dy 1.9080 4.8093 -1.8847
Dy 2.8379 0.0000 3.3380
Dy 0.0000 2.0320 2.5352
Dy 4.7459 2.7773 2.6876
Dy 1.9080 4.8093 1.8847
Dy 2.8379 0.0000 7.1075
Dy -2.0932 3.0037 5.2228
Dy 2.0932 3.0037 5.2228
Dy 0.0000 2.0320 7.9103
Si 4.7459 0.0000 1.1994
Si 0.0000 3.5761 0.0000
Si 0.0000 6.0424 0.0000
Si 0.0000 4.8093 4.0233
Bi 0.0000 0.0000 0.0000
Bi 0.0000 0.0000 5.2228
```

[7]
Structure and calculated PXRD pattern of SmDy2Bi2 (the PBE geometry in Alexandria; Cu Ka).
No peak broadening, texture or thermal motion is included.

Main lines, sorted by position (2θ from 10° to 90°):
2θ (°), I (rel.)
20.8, 44
24.5, 97
30.1, 100
30.9, 43
31.5, 85
34.1, 53
38.4, 87
38.5, 43
39.1, 49
40.7, 41
60.1, 32
63.5, 29

Crystal structure
```
10
Lattice="7.4161 0.0000 0.0000 0.0000 6.1732 0.0000 -2.0448 0.0000 7.1807" Properties=species:S:1:pos:R:3 pbc="T T T"
Sm 0.0000 0.0000 0.0000
Sm 3.7080 3.0866 0.0000
Dy -1.0224 1.5423 3.5904
Dy -1.0224 4.6309 3.5904
Dy 2.6856 1.5443 3.5904
Dy 2.6856 4.6289 3.5904
Bi 0.8254 3.0866 1.5048
Bi 0.8378 0.0000 5.6759
Bi 4.5334 0.0000 1.5048
Bi 4.5459 3.0866 5.6759
```

[8]
Structure and calculated PXRD pattern of Sm4DyBi2 (the PBE geometry in Alexandria; Cu Ka).
No peak broadening, texture or thermal motion is included.

Main lines, sorted by position (2θ from 10° to 90°):
2θ (°), I (rel.)
10.3, 25
23.2, 58
25.5, 42
30.9, 64
31.4, 88
33.1, 100
45.9, 43
46.2, 42
47.5, 37
54.7, 21
58.0, 42
72.2, 24

Crystal structure
```
14
Lattice="5.4185 0.0000 0.0000 0.0000 5.4185 0.0000 0.0000 0.0000 17.0991" Properties=species:S:1:pos:R:3 pbc="T T T"
Sm 0.0000 0.0000 3.1075
Sm 0.0000 0.0000 13.9916
Sm 0.0000 2.7093 0.0000
Sm 0.0000 2.7093 8.5496
Sm 2.7093 0.0000 0.0000
Sm 2.7093 0.0000 8.5496
Sm 2.7093 2.7093 5.4420
Sm 2.7093 2.7093 11.6571
Dy 0.0000 0.0000 0.0000
Dy 2.7093 2.7093 8.5496
Bi 0.0000 0.0000 6.2501
Bi 0.0000 0.0000 10.8490
Bi 2.7093 2.7093 2.2995
Bi 2.7093 2.7093 14.7997
```

[9]
Structure and calculated PXRD pattern of Sm2Dy5Bi5 (the PBE geometry in Alexandria; Cu Ka).
No peak broadening, texture or thermal motion is included.

Main lines, sorted by position (2θ from 10° to 90°):
2θ (°), I (rel.)
22.6, 57
27.2, 57
27.9, 78
28.4, 95
29.2, 46
30.6, 84
31.4, 100
34.6, 39
38.3, 52
38.5, 38
40.5, 73
40.7, 51

Crystal structure
```
12
Lattice="7.2961 -2.2259 0.0000 7.2961 2.2259 0.0000 -4.2916 0.0000 12.0971" Properties=species:S:1:pos:R:3 pbc="T T T"
Sm -0.5615 0.0000 3.3988
Sm 10.8620 0.0000 8.6983
Dy 3.5104 0.0000 1.9800
Dy 2.9497 0.0000 5.6490
Dy 7.2961 0.0000 0.0000
Dy 7.3508 0.0000 6.4481
Dy 6.7902 0.0000 10.1171
Bi -2.1458 0.0000 6.0485
Bi -2.2459 0.0000 11.4053
Bi 1.3054 0.0000 8.5784
Bi 8.9951 0.0000 3.5187
Bi 12.5464 0.0000 0.6918
```

[10]
Structure and calculated PXRD pattern of SmDyTlBi (the PBE geometry in Alexandria; Cu Ka).
No peak broadening, texture or thermal motion is included.

Main lines, sorted by position (2θ from 10° to 90°):
2θ (°), I (rel.)
22.9, 2
32.6, 100
40.3, 1
46.8, 19
52.8, 1
58.3, 39
68.4, 12
73.2, 1
77.9, 17
87.0, 4

Crystal structure
```
16
Lattice="7.7581 0.0000 0.0000 0.0000 7.7581 0.0000 0.0000 0.0000 7.7581" Properties=species:S:1:pos:R:3 pbc="T T T"
Sm 0.0000 0.0000 0.0000
Sm 0.0000 3.8791 3.8791
Sm 3.8791 0.0000 3.8791
Sm 3.8791 3.8791 0.0000
Dy 0.0000 0.0000 3.8791
Dy 0.0000 3.8791 0.0000
Dy 3.8791 0.0000 0.0000
Dy 3.8791 3.8791 3.8791
Tl 1.9395 1.9395 5.8186
Tl 1.9395 5.8186 1.9395
Tl 5.8186 1.9395 1.9395
Tl 5.8186 5.8186 5.8186
Bi 1.9395 1.9395 1.9395
Bi 1.9395 5.8186 5.8186
Bi 5.8186 1.9395 5.8186
Bi 5.8186 5.8186 1.9395
```

[11]
Structure and calculated PXRD pattern of Sm2DyTmBi5 (the PBE geometry in Alexandria; Cu Ka).
No peak broadening, texture or thermal motion is included.

Main lines, sorted by position (2θ from 10° to 90°):
2θ (°), I (rel.)
23.4, 62
24.6, 52
27.9, 53
30.0, 62
32.6, 38
33.4, 100
38.4, 31
45.5, 81
47.9, 37
57.6, 41
79.8, 25
87.6, 27

Crystal structure
```
9
Lattice="5.3730 0.0000 0.0000 0.0000 5.3730 0.0000 0.0000 0.0000 11.9000" Properties=species:S:1:pos:R:3 pbc="T T T"
Sm 0.0000 0.0000 2.7172
Sm 0.0000 0.0000 9.1828
Dy 2.6865 2.6865 5.9500
Tm 2.6865 2.6865 0.0000
Bi 0.0000 0.0000 5.9500
Bi 0.0000 2.6865 0.0000
Bi 2.6865 0.0000 0.0000
Bi 2.6865 2.6865 3.0137
Bi 2.6865 2.6865 8.8863
```

[12]
Structure and calculated PXRD pattern of Dy10Sn3Bi3 (the PBE geometry in Alexandria; Cu Ka).
No peak broadening, texture or thermal motion is included.

Main lines, sorted by position (2θ from 10° to 90°):
2θ (°), I (rel.)
27.6, 19
29.9, 14
30.1, 29
33.2, 100
34.0, 75
34.2, 42
43.8, 13
49.1, 18
52.4, 28
56.9, 10
66.1, 19
68.1, 12

Crystal structure
```
16
Lattice="9.0708 0.0000 0.0000 -4.5354 7.8556 0.0000 0.0000 0.0000 6.4711" Properties=species:S:1:pos:R:3 pbc="T T T"
Dy -1.0882 1.8847 0.0000
Dy -3.4439 5.9650 3.2356
Dy 2.1763 0.0000 0.0000
Dy 1.0915 1.8906 3.2356
Dy 0.0000 5.2371 1.6470
Dy 0.0000 5.2371 4.8242
Dy 4.5354 2.6185 1.6470
Dy 4.5354 2.6185 4.8242
Dy 6.8878 0.0000 3.2356
Dy 3.4473 5.9708 0.0000
Sn -1.7753 3.0749 3.2356
Sn 3.5506 0.0000 3.2356
Sn 2.7601 4.7807 3.2356
Bi -2.7533 4.7689 0.0000
Bi 1.7821 3.0867 0.0000
Bi 5.5067 0.0000 0.0000
```